# 1
Theoretical PXRD pattern
Compound: AlReRh2
Radiation: λ = 1.5418 Å (Cu Kα)
Structure: a cell relaxed with GGA-PBE
Peak positions follow from Bragg's law for the DFT cell and can differ from measured ones.

Largest 10 diffraction maxima, in order of rising 2θ, 5 to 70 degrees two-theta:
| 2θ/deg | intensity | (hkl) |
| --- | --- | --- |
| 18.84 | 24 | 0 0 1 |
| 20.14 | 29 | 0 1 0 |
| 37.86 | 27 | 1 0 1 |
| 38.22 | 20 | 0 0 2 |
| 40.94 | 35 | 0 2 0 |
| 43.25 | 100 | 1 1 1 |
| 43.57 | 39 | 0 1 2 |
| 56.98 | 16 | 1 2 1 |
| 57.24 | 12 | 0 2 2 |
| 68.85 | 14 | 1 0 3 |

Cell and atoms:
Cell lengths 2.753, 4.409, 4.710 Å; angles 90.00, 90.00, 90.00 degrees
Space group Pmm2 (No. 25)
One atom of each set of equivalent atoms:
Al 0.000 0.000 0.000 [1 per cell]
Re 0.000 0.500 0.633 [1 per cell]
Rh 0.500 0.000 0.479 [1 per cell]
Rh 0.500 0.500 0.118 [1 per cell]


# 2
Theoretical PXRD pattern
Compound: Th6Tl2Pt
Radiation: λ = 1.5418 Å (Cu Kα)
Structure: a cell relaxed with GGA-PBE
Peak positions follow from Bragg's law for the DFT cell and can differ from measured ones.

Largest 10 diffraction maxima, in order of rising 2θ, 5 to 70 degrees two-theta:
| 2θ/deg | intensity | (hkl) |
| --- | --- | --- |
| 30.33 | 70 | 2 1 0 |
| 30.78 | 100 | 1 1 1 |
| 32.90 | 90 | 2 0 1 |
| 34.51 | 56 | 3 0 0 |
| 38.66 | 39 | 2 1 1 |
| 47.84 | 21 | 0 0 2 |
| 48.43 | 15 | 3 1 1 |
| 56.89 | 47 | 3 2 1 |
| 57.70 | 24 | 2 1 2 |
| 60.32 | 23 | 3 0 2 |

Cell and atoms:
Cell lengths 9.0024, 9.0024, 3.8026 Å; angles 90.00, 90.00, 120.00 degrees
Space group P-62m (No. 189)
One atom of each set of equivalent atoms:
Th 0.0000 0.2531 0.0000 [3 per cell]
Th 0.0000 0.5968 0.5000 [3 per cell]
Tl 0.3333 0.6667 0.0000 [2 per cell]
Pt 0.0000 0.0000 0.5000 [1 per cell]


# 3
Theoretical PXRD pattern
Compound: RbInTe3O8
Radiation: λ = 1.5418 Å (Cu Kα)
Structure: a cell relaxed with GGA-PBE
Peak positions follow from Bragg's law for the DFT cell and can differ from measured ones.

Largest 10 diffraction maxima, in order of rising 2θ, 5 to 70 degrees two-theta:
| 2θ/deg | intensity | (hkl) |
| --- | --- | --- |
| 12.28 | 30 | 0 1 0 |
| 13.32 | 23 | 0 1 1 |
| 23.21 | 37 | 1 -1 0 |
| 24.71 | 48 | 0 2 0 |
| 26.34 | 37 | -1 1 2 |
| 26.82 | 21 | 0 2 2 |
| 27.39 | 74 | 1 2 2 |
| 28.21 | 24 | 1 0 -3 |
| 29.74 | 56 | 1 0 3 |
| 30.58 | 100 | 2 1 0 |

Cell and atoms:
Cell lengths 5.866, 7.748, 11.310 Å; angles 79.48, 89.56, 71.32 degrees
Space group P-1 (No. 2)
One atom of each set of equivalent atoms:
Rb 0.159 0.119 0.332 [2 per cell]
In 0.000 0.500 0.000 [1 per cell]
In 0.500 0.500 0.500 [1 per cell]
Te 0.064 0.328 0.647 [2 per cell]
Te 0.220 0.011 0.917 [2 per cell]
Te 0.484 0.530 0.163 [2 per cell]
O 0.115 0.965 0.104 [2 per cell]
O 0.184 0.735 0.423 [2 per cell]
O 0.192 0.262 0.919 [2 per cell]
O 0.233 0.074 0.728 [2 per cell]
O 0.255 0.630 0.910 [2 per cell]
O 0.260 0.326 0.513 [2 per cell]
O 0.263 0.397 0.158 [2 per cell]
O 0.385 0.566 0.676 [2 per cell]


# 4
Theoretical PXRD pattern
Compound: Y2Al14Co3
Radiation: λ = 1.5418 Å (Cu Kα)
Structure: a cell relaxed with GGA-PBE
Peak positions follow from Bragg's law for the DFT cell and can differ from measured ones.

Largest 10 diffraction maxima, in order of rising 2θ, 5 to 70 degrees two-theta:
| 2θ/deg | intensity | (hkl) |
| --- | --- | --- |
| 23.12 | 16 | 2 0 0 |
| 23.25 | 10 | 1 0 2 |
| 28.53 | 35 | 1 1 2 |
| 34.99 | 17 | 3 0 0 |
| 38.55 | 17 | 2 0 3 |
| 40.67 | 100 | 2 2 0 |
| 40.94 | 21 | 0 0 4 |
| 45.75 | 14 | 2 2 2 |
| 58.87 | 11 | 4 1 2 |
| 59.04 | 16 | 2 2 4 |

Cell and atoms:
Cell lengths 8.8824, 8.8824, 8.8181 Å; angles 90.00, 90.00, 120.00 degrees
Space group P6_3/mmc (No. 194)
One atom of each set of equivalent atoms:
Y 0.0000 0.0000 0.2500 [2 per cell]
Y 0.3333 0.6667 0.2500 [2 per cell]
Al 0.0335 0.3719 0.7500 [12 per cell]
Al 0.1714 0.3428 0.0221 [12 per cell]
Al 0.3333 0.6667 0.5964 [4 per cell]
Co 0.0000 0.5000 0.0000 [6 per cell]


# 5
Theoretical PXRD pattern
Compound: Ac4Ni2Ge5
Radiation: λ = 1.5418 Å (Cu Kα)
Structure: a cell relaxed with GGA-PBE
Peak positions follow from Bragg's law for the DFT cell and can differ from measured ones.

Largest 10 diffraction maxima, in order of rising 2θ, 5 to 70 degrees two-theta:
| 2θ/deg | intensity | (hkl) |
| --- | --- | --- |
| 23.64 | 22 | 1 0 -2 |
| 24.34 | 25 | 2 0 0 |
| 24.89 | 31 | 1 0 2 |
| 30.78 | 100 | 1 1 -2 |
| 31.33 | 88 | 2 1 0 |
| 31.77 | 76 | 1 1 2 |
| 39.44 | 37 | 0 2 0 |
| 41.64 | 28 | 3 0 -2 |
| 42.67 | 23 | 0 0 4 |
| 58.69 | 21 | 3 2 -2 |

Cell and atoms:
Cell lengths 7.326, 4.570, 8.490 Å; angles 90.00, 93.36, 90.00 degrees
Space group P2/m (No. 10)
One atom of each set of equivalent atoms:
Ac 0.230 0.000 0.136 [2 per cell]
Ac 0.254 0.000 0.628 [2 per cell]
Ni 0.074 0.500 0.379 [2 per cell]
Ge 0.100 0.500 0.872 [2 per cell]
Ge 0.399 0.500 0.368 [2 per cell]
Ge 0.500 0.500 0.000 [1 per cell]


# 6
Theoretical PXRD pattern
Compound: Ca4P2O9
Radiation: λ = 1.5418 Å (Cu Kα)
Structure: a cell relaxed with GGA-PBE
Peak positions follow from Bragg's law for the DFT cell and can differ from measured ones.

Largest 10 diffraction maxima, in order of rising 2θ, 5 to 70 degrees two-theta:
| 2θ/deg | intensity | (hkl) |
| --- | --- | --- |
| 25.22 | 39 | 2 0 0 |
| 27.79 | 29 | 2 1 -1 |
| 29.01 | 81 | 0 1 3 |
| 29.51 | 100 | 0 4 0 |
| 30.65 | 25 | 2 2 -1 |
| 30.90 | 47 | 2 2 1 |
| 31.77 | 30 | 0 2 3 |
| 32.15 | 49 | 2 1 -2 |
| 32.63 | 38 | 2 1 2 |
| 51.78 | 27 | 4 0 0 |

Cell and atoms:
Cell lengths 7.063, 12.108, 9.550 Å; angles 90.00, 90.92, 90.00 degrees
Space group P2_1 (No. 4)
One atom of each set of equivalent atoms:
Ca 0.010 0.000 0.364 [2 per cell]
Ca 0.034 0.227 0.897 [2 per cell]
Ca 0.227 0.766 0.472 [2 per cell]
Ca 0.249 0.490 0.012 [2 per cell]
Ca 0.260 0.966 0.743 [2 per cell]
Ca 0.270 0.270 0.250 [2 per cell]
Ca 0.468 0.773 0.102 [2 per cell]
Ca 0.485 0.018 0.409 [2 per cell]
P 0.232 0.678 0.786 [2 per cell]
P 0.236 0.529 0.319 [2 per cell]
P 0.236 0.993 0.090 [2 per cell]
P 0.291 0.245 0.623 [2 per cell]
O 0.043 0.702 0.706 [2 per cell]
O 0.076 0.453 0.265 [2 per cell]
O 0.082 0.043 0.992 [2 per cell]
O 0.097 0.307 0.622 [2 per cell]
O 0.160 0.884 0.159 [2 per cell]
O 0.214 0.566 0.474 [2 per cell]
O 0.229 0.706 0.944 [2 per cell]
O 0.233 0.942 0.510 [2 per cell]
O 0.243 0.636 0.227 [2 per cell]
O 0.266 0.308 0.016 [2 per cell]
O 0.270 0.551 0.775 [2 per cell]
O 0.286 0.071 0.214 [2 per cell]
O 0.287 0.162 0.749 [2 per cell]
O 0.328 0.188 0.483 [2 per cell]
O 0.386 0.747 0.712 [2 per cell]
O 0.412 0.964 0.000 [2 per cell]
O 0.420 0.461 0.307 [2 per cell]
O 0.459 0.327 0.657 [2 per cell]


# 7
Theoretical PXRD pattern
Compound: Na3Tl8Pb
Radiation: λ = 1.5418 Å (Cu Kα)
Structure: a cell relaxed with GGA-PBE
Peak positions follow from Bragg's law for the DFT cell and can differ from measured ones.

Largest 10 diffraction maxima, in order of rising 2θ, 5 to 70 degrees two-theta:
| 2θ/deg | intensity | (hkl) |
| --- | --- | --- |
| 23.44 | 20 | 1 2 1 |
| 29.12 | 17 | 3 0 1 |
| 29.85 | 16 | 0 0 2 |
| 32.43 | 32 | 0 4 0 |
| 33.43 | 100 | 3 2 1 |
| 34.07 | 35 | 0 2 2 |
| 52.53 | 16 | 3 0 3 |
| 58.49 | 20 | 3 6 1 |
| 62.91 | 12 | 6 2 2 |
| 63.11 | 18 | 3 4 3 |

Cell and atoms:
Cell lengths 10.711, 11.043, 5.987 Å; angles 90.00, 90.00, 90.00 degrees
Space group Imm2 (No. 44)
One atom of each set of equivalent atoms:
Na 0.000 0.000 0.000 [2 per cell]
Na 0.000 0.250 0.622 [4 per cell]
Tl 0.164 0.500 0.476 [4 per cell]
Tl 0.166 0.000 0.492 [4 per cell]
Tl 0.166 0.247 0.125 [8 per cell]
Pb 0.000 0.500 0.975 [2 per cell]


# 8
Theoretical PXRD pattern
Compound: Sr3PAu
Radiation: λ = 1.5418 Å (Cu Kα)
Structure: a cell relaxed with GGA-PBE
Peak positions follow from Bragg's law for the DFT cell and can differ from measured ones.

Largest 10 diffraction maxima, in order of rising 2θ, 5 to 70 degrees two-theta:
| 2θ/deg | intensity | (hkl) |
| --- | --- | --- |
| 15.32 | 7 | 1 0 0 |
| 21.73 | 26 | 1 1 0 |
| 26.69 | 100 | 1 1 1 |
| 30.92 | 68 | 2 0 0 |
| 38.11 | 13 | 2 1 1 |
| 44.29 | 50 | 2 2 0 |
| 52.47 | 47 | 3 1 1 |
| 54.99 | 18 | 2 2 2 |
| 59.83 | 7 | 3 2 1 |
| 64.43 | 8 | 4 0 0 |

Cell and atoms:
Cell lengths 5.784, 5.784, 5.784 Å; angles 90.00, 90.00, 90.00 degrees
Space group Pm-3m (No. 221)
One atom of each set of equivalent atoms:
Sr 0.000 0.000 0.500 [3 per cell]
P 0.000 0.000 0.000 [1 per cell]
Au 0.500 0.500 0.500 [1 per cell]


# 9
Theoretical PXRD pattern
Compound: CePa3Al8
Radiation: λ = 1.5418 Å (Cu Kα)
Structure: a cell relaxed with GGA-PBE
Peak positions follow from Bragg's law for the DFT cell and can differ from measured ones.

Largest 10 diffraction maxima, in order of rising 2θ, 5 to 70 degrees two-theta:
| 2θ/deg | intensity | (hkl) |
| --- | --- | --- |
| 18.32 | 51 | 1 0 0 |
| 20.93 | 66 | 1 0 1 |
| 32.01 | 78 | 1 1 0 |
| 35.74 | 100 | 1 0 3 |
| 37.13 | 15 | 2 0 0 |
| 38.12 | 38 | 1 1 2 |
| 38.56 | 36 | 0 2 1 |
| 48.73 | 24 | 0 2 3 |
| 57.06 | 16 | 3 0 0 |
| 59.50 | 45 | 2 1 3 |

Cell and atoms:
Cell lengths 5.5913, 5.5913, 8.8167 Å; angles 90.00, 90.00, 120.00 degrees
Space group P3m1 (No. 156)
One atom of each set of equivalent atoms:
Ce 0.0000 0.0000 0.0000 [1 per cell]
Pa 0.0000 0.0000 0.3389 [1 per cell]
Pa 0.6667 0.3333 0.5041 [1 per cell]
Pa 0.6667 0.3333 0.8272 [1 per cell]
Al 0.1607 0.3215 0.6651 [3 per cell]
Al 0.3333 0.6667 0.4171 [1 per cell]
Al 0.3333 0.6667 0.9159 [1 per cell]
Al 0.5061 0.0121 0.1691 [3 per cell]


# 10
Theoretical PXRD pattern
Compound: ErTh4Sc3
Radiation: λ = 1.5418 Å (Cu Kα)
Structure: a cell relaxed with GGA-PBE
Peak positions follow from Bragg's law for the DFT cell and can differ from measured ones.

Largest 10 diffraction maxima, in order of rising 2θ, 5 to 70 degrees two-theta:
| 2θ/deg | intensity | (hkl) |
| --- | --- | --- |
| 16.99 | 30 | 1 1 -1 |
| 31.67 | 100 | 2 0 0 |
| 31.75 | 33 | 2 0 -2 |
| 36.33 | 27 | 0 0 2 |
| 36.97 | 44 | 2 4 -1 |
| 52.73 | 16 | 2 4 1 |
| 52.88 | 16 | 2 4 -3 |
| 53.29 | 16 | 4 0 -2 |
| 63.29 | 19 | 4 4 -1 |
| 63.39 | 18 | 4 4 -3 |

Cell and atoms:
Cell lengths 6.877, 13.753, 6.013 Å; angles 90.00, 124.66, 90.00 degrees
Space group C2/m (No. 12)
One atom of each set of equivalent atoms:
Er 0.000 0.000 0.000 [2 per cell]
Th 0.000 0.253 0.000 [4 per cell]
Th 0.000 0.373 0.500 [4 per cell]
Sc 0.000 0.122 0.500 [4 per cell]
Sc 0.000 0.500 0.000 [2 per cell]


# 11
Theoretical PXRD pattern
Compound: Li3H2Rh
Radiation: λ = 1.5418 Å (Cu Kα)
Structure: a cell relaxed with GGA-PBE
Peak positions follow from Bragg's law for the DFT cell and can differ from measured ones.

Largest 10 diffraction maxima, in order of rising 2θ, 5 to 70 degrees two-theta:
| 2θ/deg | intensity | (hkl) |
| --- | --- | --- |
| 19.82 | 100 | 0 1 0 |
| 22.23 | 40 | 0 1 1 |
| 31.50 | 14 | 1 0 0 |
| 33.12 | 13 | 0 1 -1 |
| 37.50 | 28 | 0 1 2 |
| 37.67 | 19 | 0 2 1 |
| 38.76 | 12 | 1 1 1 |
| 39.04 | 12 | -1 1 1 |
| 40.18 | 11 | 0 0 2 |
| 51.98 | 11 | 1 0 2 |

Cell and atoms:
Cell lengths 2.840, 4.819, 4.836 Å; angles 68.15, 89.84, 89.48 degrees
Space group P-1 (No. 2)
One atom of each set of equivalent atoms:
Li 0.000 0.000 0.000 [1 per cell]
Li 0.000 0.500 0.500 [1 per cell]
Li 0.500 0.000 0.500 [1 per cell]
H 0.001 0.291 0.211 [2 per cell]
Rh 0.500 0.500 0.000 [1 per cell]